(1)
Simulated X-ray powder pattern
Compound: TaMn3Tl3S8
Radiation: a wavelength of 1.5418 Å
Structure: a cell relaxed with PBE
Lines closer than 0.1° are merged.

Atomic structure:
a = 7.2012 Å, b = 7.2012 Å, c = 8.6011 Å
α = 114.89°, β = 114.89°, γ = 60.26°
Element x y z (fractional)
Ta 0.0000 0.0000 0.0000
Mn 0.0000 0.5000 0.0000
Mn 0.5000 0.0000 0.0000
Mn 0.5000 0.5000 0.0000
Tl 0.0000 0.0000 0.5000
Tl 0.0000 0.5000 0.5000
Tl 0.5000 0.0000 0.5000
S 0.2244 0.7313 0.1830
S 0.2263 0.2263 0.1842
S 0.2687 0.7756 0.8170
S 0.2763 0.2763 0.8291
S 0.7237 0.7237 0.1709
S 0.7313 0.2244 0.1830
S 0.7737 0.7737 0.8158
S 0.7756 0.2687 0.8170

Largest 6 diffraction maxima, in order of rising 2θ, 10° ≤ 2θ ≤ 90°:
| Position (°2θ) | d [Å] | intensity |
| --- | --- | --- |
| 14.72 | 6.018 | 75.4 |
| 23.68 | 3.757 | 48.6 |
| 29.69 | 3.009 | 66.3 |
| 32.73 | 2.736 | 100.0 |
| 32.92 | 2.721 | 49.1 |
| 43.27 | 2.091 | 36.9 |


(2)
Simulated X-ray powder pattern
Compound: TaFe4Te
Radiation: a wavelength of 1.5418 Å
Structure: a cell relaxed with PBE
Lines closer than 0.1° are merged.

Atomic structure:
a = 4.9347 Å, b = 4.9347 Å, c = 4.9347 Å
α = 60.00°, β = 60.00°, γ = 60.00°
Element x y z (fractional)
Ta 0.0000 0.0000 0.0000
Fe 0.1213 0.6262 0.6262
Fe 0.6262 0.1213 0.6262
Fe 0.6262 0.6262 0.1213
Fe 0.6262 0.6262 0.6262
Te 0.2500 0.2500 0.2500

Largest 6 diffraction maxima, in order of rising 2θ, 10° ≤ 2θ ≤ 90°:
| Position (°2θ) | d [Å] | intensity |
| --- | --- | --- |
| 22.06 | 4.029 | 17.5 |
| 36.41 | 2.467 | 65.6 |
| 42.98 | 2.104 | 100.0 |
| 65.53 | 1.425 | 23.7 |
| 70.06 | 1.343 | 29.9 |
| 77.35 | 1.234 | 21.5 |


(3)
Simulated X-ray powder pattern
Compound: Ca2PmNi9
Radiation: a wavelength of 1.5418 Å
Structure: a cell relaxed with PBE
Lines closer than 0.1° are merged.

Atomic structure:
a = 8.6330 Å, b = 8.6330 Å, c = 8.6330 Å
α = 33.71°, β = 33.71°, γ = 33.71°
Element x y z (fractional)
Ca 0.1416 0.1416 0.1416
Ca 0.8584 0.8584 0.8584
Pm 0.0000 0.0000 0.0000
Ni 0.0829 0.5799 0.5799
Ni 0.3325 0.3325 0.3325
Ni 0.4201 0.4201 0.9171
Ni 0.4201 0.9171 0.4201
Ni 0.5000 0.5000 0.5000
Ni 0.5799 0.0829 0.5799
Ni 0.5799 0.5799 0.0829
Ni 0.6675 0.6675 0.6675
Ni 0.9171 0.4201 0.4201

Largest 6 diffraction maxima, in order of rising 2θ, 10° ≤ 2θ ≤ 90°:
| Position (°2θ) | d [Å] | intensity |
| --- | --- | --- |
| 10.88 | 8.135 | 31.2 |
| 35.88 | 2.503 | 21.6 |
| 36.00 | 2.495 | 18.4 |
| 41.84 | 2.159 | 26.9 |
| 42.39 | 2.132 | 100.0 |
| 44.55 | 2.034 | 21.5 |


> What is the formula in the first record?

TaMn3Tl3S8